Simulated XRD peak list of Cu2Pt3 for λ = 1.5418 Å (Cu Kα), from a GGA-PBE-relaxed structure.

Crystal structure
```
data_Cu2Pt3
_chemical_formula_sum 'Cu6 Pt9'
_space_group_name_H-M_alt 'R -3 m'
_space_group_IT_number 166
_space_group_name_Hall '-R 3 2"'
_cell_length_a 2.7551
_cell_length_b 2.7551
_cell_length_c 32.7519
_cell_angle_alpha 90.00
_cell_angle_beta 90.00
_cell_angle_gamma 120.00
loop_
_atom_site_label
_atom_site_fract_x
_atom_site_fract_y
_atom_site_fract_z
Cu1 0.0000 0.0000 0.1012
Pt1 0.0000 0.0000 0.2968
Pt2 0.0000 0.0000 0.5000
```

Most intense lines, 15° ≤ 2θ ≤ 90°, by intensity:
| 2theta | I_rel | index |
| --- | --- | --- |
| 40.23 | 100.0 | 0 1 5 |
| 47.12 | 62.6 | 1 0 10 |
| 41.35 | 29.5 | 0 0 15 |
| 82.86 | 23.6 | 1 1 15 |
| 68.06 | 21.2 | 1 1 0 |
| 69.64 | 18.1 | 0 1 20 |
| 24.46 | 15.4 | 0 0 9 |
| 16.24 | 15.0 | 0 0 6 |